No. 1
This entry pairs a crystal structure of KMg6AlO8 with its simulated powder diffractogram. Radiation: Cu Ka. Structure: the PBE geometry in the Materials Project.
Lines closer than 0.1° are merged.

Top 8 peaks for 2θ = 10–80°, low angle first:
| d/Å | Position (°2θ) | I/Imax |
| --- | --- | --- |
| 2.529 | 35.5 | 21.1 |
| 2.207 | 40.9 | 100.0 |
| 2.158 | 41.9 | 43.0 |
| 1.561 | 59.2 | 28.5 |
| 1.543 | 60.0 | 51.0 |
| 1.328 | 71.0 | 8.6 |
| 1.306 | 72.3 | 5.5 |
| 1.265 | 75.1 | 23.5 |

Lattice parameters (Å, degrees): 4.4147 4.4147 8.6310 90.00 90.00 90.00
Fractional positions:
K: 0.0000 0.0000 0.0000
Mg: 0.0000 0.0000 0.5000
Mg: 0.0000 0.5000 0.2492
Mg: 0.0000 0.5000 0.7508
Mg: 0.5000 0.0000 0.2492
Mg: 0.5000 0.0000 0.7508
Mg: 0.5000 0.5000 0.5000
Al: 0.5000 0.5000 0.0000
O: 0.0000 0.0000 0.2757
O: 0.0000 0.0000 0.7243
O: 0.0000 0.5000 0.0000
O: 0.0000 0.5000 0.5000
O: 0.5000 0.0000 0.0000
O: 0.5000 0.0000 0.5000
O: 0.5000 0.5000 0.2241
O: 0.5000 0.5000 0.7759

***

No. 2
This entry pairs a crystal structure of MgI3 with its simulated powder diffractogram. Radiation: Cu Ka. Structure: the PBE geometry in the Materials Project.
Lines closer than 0.1° are merged.

Top 8 peaks for 2θ = 10–80°, low angle first:
| d/Å | Position (°2θ) | I/Imax |
| --- | --- | --- |
| 5.095 | 17.4 | 58.5 |
| 3.851 | 23.1 | 100.0 |
| 3.276 | 27.2 | 46.1 |
| 2.862 | 31.3 | 51.7 |
| 2.424 | 37.1 | 70.8 |
| 2.189 | 41.2 | 22.4 |
| 1.961 | 46.3 | 27.3 |
| 1.937 | 46.9 | 31.2 |

Lattice parameters (Å, degrees): 11.7660 11.7660 3.4592 90.00 90.00 120.00
Fractional positions:
Mg: 0.3333 0.6667 0.2500
Mg: 0.6667 0.3333 0.7500
I: 0.2166 0.4333 0.7500
I: 0.2166 0.7834 0.7500
I: 0.4333 0.2166 0.2500
I: 0.5667 0.7834 0.7500
I: 0.7834 0.2166 0.2500
I: 0.7834 0.5667 0.2500

***

No. 3
This entry pairs a crystal structure of TbB6 with its simulated powder diffractogram. Radiation: Cu Ka. Structure: the PBE geometry in the Materials Project.
Lines closer than 0.1° are merged.

Top 8 peaks for 2θ = 10–80°, low angle first:
| d/Å | Position (°2θ) | I/Imax |
| --- | --- | --- |
| 4.100 | 21.7 | 69.2 |
| 2.899 | 30.8 | 100.0 |
| 2.367 | 38.0 | 42.0 |
| 2.050 | 44.2 | 21.3 |
| 1.833 | 49.7 | 50.1 |
| 1.674 | 54.9 | 28.4 |
| 1.367 | 68.7 | 27.7 |
| 1.296 | 73.0 | 19.8 |

Lattice parameters (Å, degrees): 4.0998 4.0998 4.0998 90.00 90.00 90.00
Fractional positions:
Tb: 0.0000 0.0000 0.0000
B: 0.1990 0.5000 0.5000
B: 0.5000 0.1990 0.5000
B: 0.5000 0.5000 0.1990
B: 0.5000 0.5000 0.8010
B: 0.5000 0.8010 0.5000
B: 0.8010 0.5000 0.5000

***

No. 4
This entry pairs a crystal structure of KHgBr3O with its simulated powder diffractogram. Radiation: Cu Ka. Structure: the PBE geometry in the Materials Project.
Lines closer than 0.1° are merged.

Top 8 peaks for 2θ = 10–80°, low angle first:
| d/Å | Position (°2θ) | I/Imax |
| --- | --- | --- |
| 8.836 | 10.0 | 81.9 |
| 4.894 | 18.1 | 32.1 |
| 4.281 | 20.7 | 23.0 |
| 3.975 | 22.4 | 32.0 |
| 3.086 | 28.9 | 100.0 |
| 2.945 | 30.3 | 26.7 |
| 2.345 | 38.4 | 26.7 |
| 1.966 | 46.2 | 24.0 |

Lattice parameters (Å, degrees): 9.0688 9.0688 9.7888 90.00 90.00 154.00
Fractional positions:
K: 0.2170 0.7830 0.5000
K: 0.7830 0.2170 0.0000
Hg: 0.4915 0.5085 0.3186
Hg: 0.5085 0.4915 0.8186
Br: 0.0162 0.9838 0.5044
Br: 0.3498 0.6502 0.2500
Br: 0.3593 0.6407 0.7273
Br: 0.6407 0.3593 0.2273
Br: 0.6502 0.3498 0.7500
Br: 0.9838 0.0162 0.0044
O: 0.1659 0.8341 0.2443
O: 0.8341 0.1659 0.7443